Computed XRD peak list
Compound: CsTaCoO2F4
Radiation: copper Kα
Structure: DFT lattice parameters and positions (GGA+U)
No peak broadening, texture or thermal motion is included.

Structural model:
```
data_CsTaCoO2F4
_chemical_formula_sum 'Cs4 Ta4 Co4 O8 F16'
_space_group_name_H-M_alt 'C 1 2 1'
_space_group_IT_number 5
_space_group_name_Hall 'C 2y'
_cell_length_a 10.5255
_cell_length_b 10.9032
_cell_length_c 7.4990
_cell_angle_alpha 90.00
_cell_angle_beta 134.49
_cell_angle_gamma 90.00
loop_
_atom_site_label
_atom_site_fract_x
_atom_site_fract_y
_atom_site_fract_z
Cs1 0.0000 0.0000 0.0000
Cs2 0.0000 0.2432 0.5000
Ta1 0.0158 0.6323 0.2592
Co1 0.2477 0.3905 0.2511
O1 0.0000 0.6049 0.5000
O2 0.0000 0.6980 0.0000
O3 0.1756 0.5118 0.3675
F1 0.0000 0.3155 0.0000
F2 0.0000 0.9572 0.5000
F3 0.1811 0.7723 0.8836
F4 0.1991 0.7619 0.4875
F5 0.2001 0.5273 0.9934
```

Largest 10 diffraction maxima, by angle, 2θ from 10° to 80°:
h k l  2θ (°)  d_spacing  I/Imax
1 1 0  14.32  6.184  59
2 0 0  23.70  3.754  35
1 3 0  27.26  3.271  100
1 1 -2  27.65  3.226  100
3 1 -2  27.99  3.187  94
2 2 0  28.89  3.091  98
3 3 0  43.95  2.060  59
0 4 2  47.63  1.909  34
4 4 -2  48.06  1.893  34
4 0 -4  48.54  1.876  34